Entry 1:
Computed PXRD pattern
Compound: Ba14Na6Ni3
Radiation: Cu Kα (weighted mean of Kα1 and Kα2)
Structure: a cell relaxed with PBE

Most intense lines, 2θ = 10–80°, sorted by position:
- hkl 1 1 0, 2θ = 13.76°, intensity 21
- hkl 2 0 1, 2θ = 19.42°, intensity 25
- hkl 2 1 0, 2θ = 21.09°, intensity 38
- hkl 0 1 2, 2θ = 23.66°, intensity 53
- hkl 2 1 1, 2θ = 23.88°, intensity 100
- hkl 3 0 1, 2θ = 26.45°, intensity 91
- hkl 2 0 2, 2θ = 27.47°, intensity 46
- hkl 1 2 3, 2θ = 40.05°, intensity 25
- hkl 3 2 2, 2θ = 41.95°, intensity 26
- hkl 3 3 0, 2θ = 42.11°, intensity 63

Unit cell a=12.8717 b=12.8717 c=7.9902 alpha=90.00 beta=90.00 gamma=120.00
Space group P3m1 (No. 156)
One atom of each set of equivalent atoms:
Ba 0.0000 0.0000 0.0000 [1 per cell]
Ba 0.1065 0.5533 0.7167 [3 per cell]
Ba 0.2197 0.4395 0.1856 [3 per cell]
Ba 0.2410 0.1205 0.4411 [3 per cell]
Ba 0.4256 0.2128 0.9467 [3 per cell]
Ba 0.6667 0.3333 0.5106 [1 per cell]
Na 0.1332 0.2664 0.7408 [3 per cell]
Na 0.5331 0.0662 0.2529 [3 per cell]
Ni 0.0000 0.0000 0.6234 [1 per cell]
Ni 0.3333 0.6667 0.9517 [1 per cell]
Ni 0.6667 0.3333 0.1339 [1 per cell]

Entry 2:
Computed PXRD pattern
Compound: TmTh2Fe
Radiation: Cu Kα (weighted mean of Kα1 and Kα2)
Structure: a cell relaxed with PBE

Most intense lines, 2θ = 10–80°, sorted by position:
- hkl 1 1 1, 2θ = 26.97°, intensity 32
- hkl 0 4 0, 2θ = 30.88°, intensity 46
- hkl 1 1 2, 2θ = 31.40°, intensity 83
- hkl 0 2 3, 2θ = 31.61°, intensity 100
- hkl 1 3 0, 2θ = 33.60°, intensity 30
- hkl 1 3 1, 2θ = 34.88°, intensity 47
- hkl 1 1 3, 2θ = 37.73°, intensity 38
- hkl 1 3 2, 2θ = 38.49°, intensity 39
- hkl 1 5 3, 2θ = 54.68°, intensity 33
- hkl 2 2 3, 2θ = 59.85°, intensity 34

Unit cell a=3.689 b=11.582 c=9.732 alpha=90.00 beta=90.00 gamma=90.00
Space group Cmcm (No. 63)
One atom of each set of equivalent atoms:
Tm 0.000 0.088 0.250 [4 per cell]
Th 0.000 0.361 0.070 [8 per cell]
Fe 0.000 0.200 0.750 [4 per cell]

Entry 3:
Computed PXRD pattern
Compound: Nd4SmCu5
Radiation: Cu Kα (weighted mean of Kα1 and Kα2)
Structure: a cell relaxed with PBE

Most intense lines, 2θ = 10–80°, sorted by position:
- hkl 0 0 5, 2θ = 24.62°, intensity 8
- hkl 1 0 0, 2θ = 24.96°, intensity 15
- hkl 1 0 5, 2θ = 35.35°, intensity 100
- hkl 1 1 0, 2θ = 35.59°, intensity 49
- hkl 1 1 5, 2θ = 43.76°, intensity 7
- hkl 0 0 10, 2θ = 50.48°, intensity 9
- hkl 2 0 0, 2θ = 51.22°, intensity 17
- hkl 1 1 10, 2θ = 63.29°, intensity 18
- hkl 2 1 5, 2θ = 63.77°, intensity 35
- hkl 2 0 10, 2θ = 74.77°, intensity 11

Unit cell a=3.567 b=3.567 c=18.079 alpha=90.00 beta=90.00 gamma=90.00
Space group P4/mmm (No. 123)
One atom of each set of equivalent atoms:
Nd 0.000 0.000 0.101 [2 per cell]
Nd 0.000 0.000 0.302 [2 per cell]
Sm 0.000 0.000 0.500 [1 per cell]
Cu 0.500 0.500 0.000 [1 per cell]
Cu 0.500 0.500 0.201 [2 per cell]
Cu 0.500 0.500 0.404 [2 per cell]

Entry 4:
Computed PXRD pattern
Compound: CeMg2InAu2
Radiation: Cu Kα (weighted mean of Kα1 and Kα2)
Structure: a cell relaxed with PBE

Most intense lines, 2θ = 10–80°, sorted by position:
- hkl 0 1 1, 2θ = 25.27°, intensity 87
- hkl 0 1 2, 2θ = 34.48°, intensity 100
- hkl 1 1 0, 2θ = 37.55°, intensity 86
- hkl 2 0 1, 2θ = 45.80°, intensity 18
- hkl 1 0 3, 2θ = 46.29°, intensity 20
- hkl 2 0 2, 2θ = 51.89°, intensity 31
- hkl 1 2 1, 2θ = 60.66°, intensity 16
- hkl 1 2 2, 2θ = 65.80°, intensity 30
- hkl 3 0 0, 2θ = 67.76°, intensity 15
- hkl 1 1 4, 2θ = 68.51°, intensity 25

Unit cell a=4.7905 b=4.7905 c=6.6781 alpha=90.00 beta=90.00 gamma=120.00
Space group P-3m1 (No. 164)
One atom of each set of equivalent atoms:
Ce 0.0000 0.0000 0.0000 [1 per cell]
Mg 0.3333 0.6667 0.6890 [2 per cell]
In 0.0000 0.0000 0.5000 [1 per cell]
Au 0.3333 0.6667 0.2393 [2 per cell]

Entry 5:
Computed PXRD pattern
Compound: ScAs2Pd4
Radiation: Cu Kα (weighted mean of Kα1 and Kα2)
Structure: a cell relaxed with PBE

Most intense lines, 2θ = 10–80°, sorted by position:
- hkl 1 0 1, 2θ = 25.23°, intensity 12
- hkl 1 1 0, 2θ = 31.42°, intensity 16
- hkl 1 1 1, 2θ = 33.76°, intensity 12
- hkl 0 0 3, 2θ = 36.73°, intensity 12
- hkl 1 1 2, 2θ = 40.08°, intensity 100
- hkl 2 0 0, 2θ = 45.03°, intensity 43
- hkl 1 1 3, 2θ = 49.09°, intensity 11
- hkl 2 0 3, 2θ = 59.45°, intensity 11
- hkl 2 2 0, 2θ = 65.57°, intensity 14
- hkl 3 1 2, 2θ = 79.70°, intensity 26

Unit cell a=4.027 b=4.027 c=7.341 alpha=90.00 beta=90.00 gamma=90.00
Space group P4/mmm (No. 123)
One atom of each set of equivalent atoms:
Sc 0.000 0.000 0.000 [1 per cell]
As 0.000 0.000 0.500 [1 per cell]
As 0.500 0.500 0.000 [1 per cell]
Pd 0.000 0.500 0.291 [4 per cell]

Entry 6:
Computed PXRD pattern
Compound: Er8AlC4
Radiation: Cu Kα (weighted mean of Kα1 and Kα2)
Structure: a cell relaxed with PBE

Most intense lines, 2θ = 10–80°, sorted by position:
- hkl 1 1 -2, 2θ = 29.91°, intensity 27
- hkl 6 0 -3, 2θ = 31.23°, intensity 71
- hkl 3 1 0, 2θ = 32.57°, intensity 100
- hkl 2 0 -4, 2θ = 33.08°, intensity 41
- hkl 3 1 -3, 2θ = 33.84°, intensity 94
- hkl 4 0 1, 2θ = 35.51°, intensity 36
- hkl 4 0 -5, 2θ = 38.55°, intensity 27
- hkl 1 1 4, 2θ = 53.19°, intensity 38
- hkl 5 1 -7, 2θ = 62.19°, intensity 33
- hkl 7 1 1, 2θ = 63.71°, intensity 32

Unit cell a=17.251 b=3.581 c=11.809 alpha=90.00 beta=131.76 gamma=90.00
Space group C2/m (No. 12)
One atom of each set of equivalent atoms:
Er 0.042 0.000 0.236 [4 per cell]
Er 0.134 0.500 0.092 [4 per cell]
Er 0.161 0.500 0.836 [4 per cell]
Er 0.200 0.500 0.564 [4 per cell]
Al 0.000 0.000 0.500 [2 per cell]
C 0.149 0.000 0.965 [4 per cell]
C 0.167 0.500 0.329 [4 per cell]